Diffraction record for Bi3WO7. The X-ray diffraction stick pattern is simulated, not measured: it uses the GGA+U geometry in Alexandria and CuKα.
Intensities are scaled so that the largest is 100.

Top 12 peaks for 2θ from 10° to 80°, by angle:
2θ 27.77, d = 3.212 Å, I = 100; 2θ 28.40, d = 3.143 Å, I = 100; 2θ 32.47, d = 2.758 Å, I = 51; 2θ 32.69, d = 2.739 Å, I = 27; 2θ 46.74, d = 1.943 Å, I = 56; 2θ 47.38, d = 1.919 Å, I = 17; 2θ 54.74, d = 1.677 Å, I = 23; 2θ 55.39, d = 1.659 Å, I = 15; 2θ 55.79, d = 1.648 Å, I = 46; 2θ 58.76, d = 1.571 Å, I = 14; 2θ 74.91, d = 1.268 Å, I = 12; 2θ 75.82, d = 1.255 Å, I = 12

Structural model:
```
Bi3WO7
1.0
3.966 -5.478 0.000
3.966 5.478 0.000
0.000 0.000 7.674
Bi W O
6 2 14
Direct
0.023 0.504 0.255
0.042 0.042 0.000
0.496 0.977 0.245
0.504 0.023 0.745
0.958 0.958 0.500
0.977 0.496 0.755
0.497 0.497 0.500
0.503 0.503 0.000
0.133 0.867 0.750
0.138 0.862 0.250
0.185 0.415 0.962
0.200 0.457 0.538
0.415 0.185 0.038
0.438 0.562 0.250
0.457 0.200 0.462
0.543 0.800 0.962
0.562 0.438 0.750
0.585 0.815 0.538
0.800 0.543 0.038
0.815 0.585 0.462
0.862 0.138 0.750
0.867 0.133 0.250
```

=====

Diffraction record for Bi2WO6. The X-ray diffraction stick pattern is simulated, not measured: it uses the GGA+U geometry in Alexandria and CuKα.
Intensities are scaled so that the largest is 100.

Top 12 peaks for 2θ from 10° to 80°, by angle:
2θ 27.70, d = 3.221 Å, I = 100; 2θ 31.36, d = 2.853 Å, I = 17; 2θ 32.32, d = 2.770 Å, I = 14; 2θ 32.58, d = 2.749 Å, I = 14; 2θ 45.65, d = 1.987 Å, I = 13; 2θ 45.85, d = 1.979 Å, I = 13; 2θ 46.55, d = 1.951 Å, I = 14; 2θ 53.61, d = 1.710 Å, I = 17; 2θ 54.86, d = 1.673 Å, I = 13; 2θ 55.20, d = 1.664 Å, I = 14; 2θ 57.20, d = 1.610 Å, I = 11; 2θ 74.88, d = 1.268 Å, I = 7

Structural model:
```
Bi2WO6
1.0
5.497 0.000 0.000
0.000 8.558 2.770
0.000 -8.558 2.770
Bi W O
4 2 12
Direct
0.025 0.175 0.825
0.475 0.675 0.325
0.525 0.325 0.675
0.975 0.825 0.175
0.000 0.559 0.559
0.500 0.059 0.059
0.086 0.717 0.503
0.238 0.528 0.027
0.247 0.315 0.358
0.253 0.815 0.858
0.262 0.028 0.527
0.414 0.217 0.003
0.586 0.003 0.217
0.738 0.527 0.028
0.747 0.858 0.815
0.753 0.358 0.315
0.762 0.027 0.528
0.914 0.503 0.717
```

=====

Diffraction record for Bi6WO12. The X-ray diffraction stick pattern is simulated, not measured: it uses the GGA+U geometry in Alexandria and CuKα.
Intensities are scaled so that the largest is 100.

Top 12 peaks for 2θ from 10° to 80°, by angle:
2θ 27.72, d = 3.218 Å, I = 100; 2θ 28.22, d = 3.162 Å, I = 30; 2θ 32.27, d = 2.774 Å, I = 53; 2θ 45.96, d = 1.975 Å, I = 29; 2θ 46.60, d = 1.949 Å, I = 27; 2θ 54.52, d = 1.683 Å, I = 15; 2θ 54.81, d = 1.675 Å, I = 31; 2θ 55.38, d = 1.659 Å, I = 14; 2θ 57.26, d = 1.609 Å, I = 13; 2θ 74.00, d = 1.281 Å, I = 13; 2θ 76.35, d = 1.247 Å, I = 11; 2θ 77.31, d = 1.234 Å, I = 10

Structural model:
```
Bi6WO12
1.0
5.225 3.017 3.162
-5.225 3.017 3.162
0.000 -6.033 3.162
Bi W O
6 1 12
Direct
0.087 0.800 0.646
0.200 0.354 0.913
0.354 0.913 0.200
0.646 0.087 0.800
0.800 0.646 0.087
0.913 0.200 0.354
0.500 0.500 0.500
0.060 0.684 0.930
0.070 0.940 0.316
0.213 0.421 0.518
0.316 0.070 0.940
0.421 0.518 0.213
0.482 0.787 0.579
0.518 0.213 0.421
0.579 0.482 0.787
0.684 0.930 0.060
0.787 0.579 0.482
0.930 0.060 0.684
0.940 0.316 0.070
```